For LiY3P3O12, a crystal structure in Alexandria, relaxed with GGA-PBE gives the calculated powder XRD pattern in this record (Cu Kα, 1.54184 Å).
Peak positions follow from Bragg's law for the DFT cell and can differ from measured ones.

Peak list (6 most intense, 2θ = 10–80°, by angle)
| Position (°2θ) | I_rel |
| --- | --- |
| 14.66 | 100.0 |
| 20.31 | 30.3 |
| 29.51 | 56.7 |
| 29.70 | 28.1 |
| 31.90 | 67.4 |
| 49.25 | 30.2 |

Cell and atoms:
a b c (Å): 6.962 6.962 6.336
angles (deg): 90.00 90.00 119.59
Fractional positions:
Li: 0.000 0.000 0.000
Y: 0.000 0.500 0.828
Y: 0.500 0.000 0.172
Y: 0.500 0.500 0.500
P: 0.000 0.500 0.332
P: 0.500 0.000 0.668
P: 0.500 0.500 0.000
O: 0.138 0.696 0.181
O: 0.142 0.446 0.483
O: 0.303 0.441 0.849
O: 0.304 0.862 0.819
O: 0.441 0.303 0.151
O: 0.446 0.142 0.517
O: 0.554 0.858 0.517
O: 0.559 0.697 0.151
O: 0.696 0.138 0.819
O: 0.697 0.559 0.849
O: 0.858 0.554 0.483
O: 0.862 0.304 0.181